Theoretical X-ray diffraction stick pattern of MoWSe2S2 for Cu Ka, from DFT lattice parameters and positions (PBE).
Lines closer than 0.1° are merged.

Cell and atoms:
Cell lengths 3.2532, 3.2532, 36.8938 Å; angles 90.00, 90.00, 120.00 degrees
Space group P3m1 (No. 156)
Inequivalent atoms, fractional coordinates:
1 Mo 0.0000 0.0000 0.0000 (multiplicity 1)
2 Mo 0.3333 0.6667 0.5636 (multiplicity 1)
3 W 0.0000 0.0000 0.3757 (multiplicity 1)
4 W 0.3333 0.6667 0.1879 (multiplicity 1)
5 Se 0.0000 0.0000 0.5176 (multiplicity 1)
6 Se 0.0000 0.0000 0.6096 (multiplicity 1)
7 Se 0.3333 0.6667 0.3294 (multiplicity 1)
8 Se 0.3333 0.6667 0.4221 (multiplicity 1)
9 S 0.0000 0.0000 0.1459 (multiplicity 1)
10 S 0.0000 0.0000 0.2299 (multiplicity 1)
11 S 0.3333 0.6667 0.0419 (multiplicity 1)
12 S 0.3333 0.6667 0.9581 (multiplicity 1)

Most intense lines, 10 to 80 degrees two-theta, sorted by position:
| Position (°2θ) | Rel. int. | h k l |
| --- | --- | --- |
| 11.99 | 100 | 0 0 5 |
| 14.40 | 26 | 0 0 6 |
| 31.79 | 32 | 1 0 0 |
| 34.06 | 12 | 1 0 5 |
| 36.15 | 11 | 1 0 7 |
| 37.40 | 59 | 1 0 8 |
| 38.78 | 12 | 0 1 9 |
| 45.36 | 37 | 1 0 13 |
| 47.23 | 15 | 0 1 14 |
| 56.60 | 23 | 1 1 0 |

Theoretical X-ray diffraction stick pattern of MoW3Se4S4 for Cu Ka, from DFT lattice parameters and positions (PBE).
Lines closer than 0.1° are merged.

Cell and atoms:
Cell lengths 3.2550, 3.2550, 36.9194 Å; angles 90.00, 90.00, 120.00 degrees
Space group P3m1 (No. 156)
Inequivalent atoms, fractional coordinates:
1 Mo 0.0000 0.0000 0.0000 (multiplicity 1)
2 W 0.0000 0.0000 0.3758 (multiplicity 1)
3 W 0.6667 0.3333 0.1878 (multiplicity 1)
4 W 0.6667 0.3333 0.8121 (multiplicity 1)
5 Se 0.0000 0.0000 0.7658 (multiplicity 1)
6 Se 0.0000 0.0000 0.8584 (multiplicity 1)
7 Se 0.6667 0.3333 0.3295 (multiplicity 1)
8 Se 0.6667 0.3333 0.4220 (multiplicity 1)
9 S 0.0000 0.0000 0.1459 (multiplicity 1)
10 S 0.0000 0.0000 0.2298 (multiplicity 1)
11 S 0.6667 0.3333 0.0418 (multiplicity 1)
12 S 0.6667 0.3333 0.9582 (multiplicity 1)

Most intense lines, 10 to 80 degrees two-theta, sorted by position:
| Position (°2θ) | Rel. int. | h k l |
| --- | --- | --- |
| 11.99 | 100 | 0 0 5 |
| 14.39 | 22 | 0 0 6 |
| 31.75 | 24 | 1 0 0 |
| 32.59 | 12 | 1 0 3 |
| 34.04 | 15 | 1 0 5 |
| 35.01 | 11 | 0 1 6 |
| 37.38 | 60 | 1 0 8 |
| 40.25 | 13 | 1 0 10 |
| 45.33 | 35 | 0 1 13 |
| 56.55 | 18 | 1 1 0 |

Theoretical X-ray diffraction stick pattern of MoWSe2S2 for Cu Ka, from DFT lattice parameters and positions (PBE).
Lines closer than 0.1° are merged.

Cell and atoms:
Cell lengths 3.2514, 3.2514, 36.8922 Å; angles 90.00, 90.00, 120.00 degrees
Space group P3m1 (No. 156)
Inequivalent atoms, fractional coordinates:
1 Mo 0.0000 0.0000 0.0000 (multiplicity 1)
2 Mo 0.3333 0.6667 0.1879 (multiplicity 1)
3 W 0.0000 0.0000 0.3758 (multiplicity 1)
4 W 0.3333 0.6667 0.5636 (multiplicity 1)
5 Se 0.0000 0.0000 0.1418 (multiplicity 1)
6 Se 0.0000 0.0000 0.2340 (multiplicity 1)
7 Se 0.3333 0.6667 0.0461 (multiplicity 1)
8 Se 0.3333 0.6667 0.9539 (multiplicity 1)
9 S 0.0000 0.0000 0.5216 (multiplicity 1)
10 S 0.0000 0.0000 0.6057 (multiplicity 1)
11 S 0.3333 0.6667 0.3337 (multiplicity 1)
12 S 0.3333 0.6667 0.4178 (multiplicity 1)

Most intense lines, 10 to 80 degrees two-theta, sorted by position:
| Position (°2θ) | Rel. int. | h k l |
| --- | --- | --- |
| 11.99 | 100 | 0 0 5 |
| 14.41 | 24 | 0 0 6 |
| 31.80 | 31 | 1 0 0 |
| 32.16 | 10 | 0 1 2 |
| 34.08 | 13 | 1 0 5 |
| 37.42 | 61 | 1 0 8 |
| 45.37 | 37 | 0 1 13 |
| 47.24 | 13 | 1 0 14 |
| 56.62 | 20 | 1 1 0 |
| 58.10 | 10 | 1 1 5 |

Theoretical X-ray diffraction stick pattern of MoWSe2S2 for Cu Ka, from DFT lattice parameters and positions (PBE).
Lines closer than 0.1° are merged.

Cell and atoms:
Cell lengths 3.2531, 3.2531, 36.8800 Å; angles 90.00, 90.00, 120.00 degrees
Space group P3m1 (No. 156)
Inequivalent atoms, fractional coordinates:
1 Mo 0.0000 0.0000 0.0000 (multiplicity 1)
2 Mo 0.3333 0.6667 0.1879 (multiplicity 1)
3 W 0.0000 0.0000 0.3758 (multiplicity 1)
4 W 0.3333 0.6667 0.5636 (multiplicity 1)
5 Se 0.0000 0.0000 0.1419 (multiplicity 1)
6 Se 0.0000 0.0000 0.2339 (multiplicity 1)
7 Se 0.0000 0.0000 0.5173 (multiplicity 1)
8 Se 0.0000 0.0000 0.6100 (multiplicity 1)
9 S 0.3333 0.6667 0.0419 (multiplicity 1)
10 S 0.3333 0.6667 0.3337 (multiplicity 1)
11 S 0.3333 0.6667 0.4177 (multiplicity 1)
12 S 0.3333 0.6667 0.9581 (multiplicity 1)

Most intense lines, 10 to 80 degrees two-theta, sorted by position:
| Position (°2θ) | Rel. int. | h k l |
| --- | --- | --- |
| 12.00 | 100 | 0 0 5 |
| 14.41 | 22 | 0 0 6 |
| 31.79 | 33 | 1 0 0 |
| 34.06 | 14 | 1 0 5 |
| 37.41 | 62 | 1 0 8 |
| 45.37 | 37 | 0 1 13 |
| 47.24 | 14 | 1 0 14 |
| 56.59 | 21 | 1 1 0 |
| 58.07 | 11 | 1 1 5 |
| 69.82 | 10 | 0 2 8 |

Theoretical X-ray diffraction stick pattern of Mo2WSe4S2 for Cu Ka, from DFT lattice parameters and positions (PBE).
Lines closer than 0.1° are merged.

Cell and atoms:
Cell lengths 3.2786, 3.2786, 30.1731 Å; angles 90.00, 90.00, 120.00 degrees
Space group P3m1 (No. 156)
Inequivalent atoms, fractional coordinates:
1 Mo 0.0000 0.0000 0.0000 (multiplicity 1)
2 Mo 0.3333 0.6667 0.2314 (multiplicity 1)
3 W 0.0000 0.0000 0.4627 (multiplicity 1)
4 Se 0.3333 0.6667 0.0560 (multiplicity 1)
5 Se 0.3333 0.6667 0.4064 (multiplicity 1)
6 Se 0.3333 0.6667 0.5190 (multiplicity 1)
7 Se 0.3333 0.6667 0.9441 (multiplicity 1)
8 S 0.0000 0.0000 0.1804 (multiplicity 1)
9 S 0.0000 0.0000 0.2822 (multiplicity 1)

Most intense lines, 10 to 80 degrees two-theta, sorted by position:
| Position (°2θ) | Rel. int. | h k l |
| --- | --- | --- |
| 11.73 | 100 | 0 0 4 |
| 14.68 | 18 | 0 0 5 |
| 31.51 | 25 | 1 0 0 |
| 33.73 | 15 | 0 1 4 |
| 36.34 | 37 | 1 0 6 |
| 37.95 | 42 | 0 1 7 |
| 41.69 | 15 | 0 1 9 |
| 43.78 | 16 | 1 0 10 |
| 46.01 | 37 | 0 1 11 |
| 56.09 | 22 | 1 1 0 |

Theoretical X-ray diffraction stick pattern of MoWSe2S2 for Cu Ka, from DFT lattice parameters and positions (PBE).
Lines closer than 0.1° are merged.

Cell and atoms:
Cell lengths 3.2536, 3.2536, 36.8774 Å; angles 90.00, 90.00, 120.00 degrees
Space group P3m1 (No. 156)
Inequivalent atoms, fractional coordinates:
1 Mo 0.0000 0.0000 0.0000 (multiplicity 1)
2 Mo 0.3333 0.6667 0.1879 (multiplicity 1)
3 W 0.0000 0.0000 0.3758 (multiplicity 1)
4 W 0.3333 0.6667 0.5636 (multiplicity 1)
5 Se 0.3333 0.6667 0.0460 (multiplicity 1)
6 Se 0.3333 0.6667 0.3294 (multiplicity 1)
7 Se 0.3333 0.6667 0.4221 (multiplicity 1)
8 Se 0.3333 0.6667 0.9540 (multiplicity 1)
9 S 0.0000 0.0000 0.1460 (multiplicity 1)
10 S 0.0000 0.0000 0.2298 (multiplicity 1)
11 S 0.0000 0.0000 0.5216 (multiplicity 1)
12 S 0.0000 0.0000 0.6056 (multiplicity 1)

Most intense lines, 10 to 80 degrees two-theta, sorted by position:
| Position (°2θ) | Rel. int. | h k l |
| --- | --- | --- |
| 12.00 | 100 | 0 0 5 |
| 14.41 | 23 | 0 0 6 |
| 31.77 | 30 | 1 0 0 |
| 34.06 | 13 | 1 0 5 |
| 37.41 | 62 | 1 0 8 |
| 45.37 | 37 | 0 1 13 |
| 47.24 | 13 | 1 0 14 |
| 56.58 | 21 | 1 1 0 |
| 58.06 | 10 | 1 1 5 |
| 69.80 | 10 | 0 2 8 |

Theoretical X-ray diffraction stick pattern of MoWSe3S for Cu Ka, from DFT lattice parameters and positions (PBE).
Lines closer than 0.1° are merged.

Cell and atoms:
Cell lengths 3.2867, 3.2867, 37.3590 Å; angles 90.00, 90.00, 120.00 degrees
Space group P3m1 (No. 156)
Inequivalent atoms, fractional coordinates:
1 Mo 0.0000 0.0000 0.0000 (multiplicity 1)
2 Mo 0.0000 0.0000 0.3757 (multiplicity 1)
3 W 0.3333 0.6667 0.1879 (multiplicity 1)
4 W 0.3333 0.6667 0.5636 (multiplicity 1)
5 Se 0.0000 0.0000 0.5182 (multiplicity 1)
6 Se 0.0000 0.0000 0.6090 (multiplicity 1)
7 Se 0.3333 0.6667 0.0451 (multiplicity 1)
8 Se 0.3333 0.6667 0.3306 (multiplicity 1)
9 Se 0.3333 0.6667 0.4209 (multiplicity 1)
10 Se 0.3333 0.6667 0.9549 (multiplicity 1)
11 S 0.0000 0.0000 0.1466 (multiplicity 1)
12 S 0.0000 0.0000 0.2291 (multiplicity 1)

Most intense lines, 10 to 80 degrees two-theta, sorted by position:
| Position (°2θ) | Rel. int. | h k l |
| --- | --- | --- |
| 11.84 | 100 | 0 0 5 |
| 14.22 | 20 | 0 0 6 |
| 31.45 | 37 | 1 0 0 |
| 33.70 | 16 | 1 0 5 |
| 36.99 | 68 | 1 0 8 |
| 44.82 | 43 | 1 0 13 |
| 46.66 | 14 | 1 0 14 |
| 55.96 | 23 | 1 1 0 |
| 68.98 | 11 | 2 0 8 |
| 79.38 | 11 | 1 1 21 |

Theoretical X-ray diffraction stick pattern of MoWSe3S for Cu Ka, from DFT lattice parameters and positions (PBE).
Lines closer than 0.1° are merged.

Cell and atoms:
Cell lengths 3.2867, 3.2867, 37.3650 Å; angles 90.00, 90.00, 120.00 degrees
Space group P3m1 (No. 156)
Inequivalent atoms, fractional coordinates:
1 Mo 0.0000 0.0000 0.0000 (multiplicity 1)
2 Mo 0.0000 0.0000 0.3757 (multiplicity 1)
3 W 0.3333 0.6667 0.1879 (multiplicity 1)
4 W 0.3333 0.6667 0.5636 (multiplicity 1)
5 Se 0.0000 0.0000 0.1425 (multiplicity 1)
6 Se 0.0000 0.0000 0.2333 (multiplicity 1)
7 Se 0.3333 0.6667 0.0451 (multiplicity 1)
8 Se 0.3333 0.6667 0.3306 (multiplicity 1)
9 Se 0.3333 0.6667 0.4209 (multiplicity 1)
10 Se 0.3333 0.6667 0.9549 (multiplicity 1)
11 S 0.0000 0.0000 0.5224 (multiplicity 1)
12 S 0.0000 0.0000 0.6049 (multiplicity 1)

Most intense lines, 10 to 80 degrees two-theta, sorted by position:
| Position (°2θ) | Rel. int. | h k l |
| --- | --- | --- |
| 11.84 | 100 | 0 0 5 |
| 14.22 | 19 | 0 0 6 |
| 31.45 | 38 | 1 0 0 |
| 33.69 | 16 | 1 0 5 |
| 36.98 | 68 | 1 0 8 |
| 44.81 | 44 | 0 1 13 |
| 46.65 | 16 | 1 0 14 |
| 55.96 | 25 | 1 1 0 |
| 68.98 | 11 | 0 2 8 |
| 79.37 | 12 | 1 1 21 |

Theoretical X-ray diffraction stick pattern of MoWSe2S2 for Cu Ka, from DFT lattice parameters and positions (PBE).
Lines closer than 0.1° are merged.

Cell and atoms:
Cell lengths 3.2534, 3.2534, 22.9990 Å; angles 90.00, 90.00, 120.00 degrees
Space group P3m1 (No. 156)
Inequivalent atoms, fractional coordinates:
1 Mo 0.0000 0.0000 0.0000 (multiplicity 1)
2 W 0.3333 0.6667 0.3010 (multiplicity 1)
3 Se 0.3333 0.6667 0.0739 (multiplicity 1)
4 Se 0.3333 0.6667 0.9261 (multiplicity 1)
5 S 0.0000 0.0000 0.2336 (multiplicity 1)
6 S 0.0000 0.0000 0.3684 (multiplicity 1)

Most intense lines, 10 to 80 degrees two-theta, sorted by position:
| Position (°2θ) | Rel. int. | h k l |
| --- | --- | --- |
| 11.54 | 100 | 0 0 3 |
| 15.41 | 20 | 0 0 4 |
| 31.76 | 24 | 1 0 0 |
| 32.00 | 16 | 0 1 1 |
| 33.90 | 16 | 1 0 3 |
| 35.48 | 17 | 0 1 4 |
| 37.43 | 50 | 1 0 5 |
| 39.70 | 18 | 1 0 6 |
| 45.05 | 34 | 0 1 8 |
| 48.07 | 15 | 1 0 9 |

Theoretical X-ray diffraction stick pattern of MoW3Se4S4 for Cu Ka, from DFT lattice parameters and positions (PBE).
Lines closer than 0.1° are merged.

Cell and atoms:
Cell lengths 3.2581, 3.2581, 36.9200 Å; angles 90.00, 90.00, 120.00 degrees
Space group P3m1 (No. 156)
Inequivalent atoms, fractional coordinates:
1 Mo 0.0000 0.0000 0.0000 (multiplicity 1)
2 W 0.0000 0.0000 0.6242 (multiplicity 1)
3 W 0.3333 0.6667 0.1879 (multiplicity 1)
4 W 0.3333 0.6667 0.8121 (multiplicity 1)
5 Se 0.0000 0.0000 0.1416 (multiplicity 1)
6 Se 0.0000 0.0000 0.2342 (multiplicity 1)
7 Se 0.0000 0.0000 0.7659 (multiplicity 1)
8 Se 0.0000 0.0000 0.8584 (multiplicity 1)
9 S 0.3333 0.6667 0.0417 (multiplicity 1)
10 S 0.3333 0.6667 0.5822 (multiplicity 1)
11 S 0.3333 0.6667 0.6662 (multiplicity 1)
12 S 0.3333 0.6667 0.9583 (multiplicity 1)

Most intense lines, 10 to 80 degrees two-theta, sorted by position:
| Position (°2θ) | Rel. int. | h k l |
| --- | --- | --- |
| 11.99 | 100 | 0 0 5 |
| 14.39 | 20 | 0 0 6 |
| 31.73 | 27 | 1 0 0 |
| 32.56 | 12 | 1 0 3 |
| 34.01 | 15 | 1 0 5 |
| 37.36 | 60 | 1 0 8 |
| 45.31 | 35 | 0 1 13 |
| 47.17 | 12 | 1 0 14 |
| 56.50 | 19 | 1 1 0 |
| 57.97 | 11 | 1 1 5 |

Theoretical X-ray diffraction stick pattern of MoWSe2S2 for Cu Ka, from DFT lattice parameters and positions (PBE).
Lines closer than 0.1° are merged.

Cell and atoms:
Cell lengths 3.2540, 3.2540, 36.8803 Å; angles 90.00, 90.00, 120.00 degrees
Space group P3m1 (No. 156)
Inequivalent atoms, fractional coordinates:
1 Mo 0.0000 0.0000 0.0000 (multiplicity 1)
2 Mo 0.3333 0.6667 0.8121 (multiplicity 1)
3 W 0.0000 0.0000 0.6242 (multiplicity 1)
4 W 0.3333 0.6667 0.1879 (multiplicity 1)
5 Se 0.0000 0.0000 0.1415 (multiplicity 1)
6 Se 0.0000 0.0000 0.2342 (multiplicity 1)
7 Se 0.0000 0.0000 0.7661 (multiplicity 1)
8 Se 0.0000 0.0000 0.8581 (multiplicity 1)
9 S 0.3333 0.6667 0.0419 (multiplicity 1)
10 S 0.3333 0.6667 0.5822 (multiplicity 1)
11 S 0.3333 0.6667 0.6662 (multiplicity 1)
12 S 0.3333 0.6667 0.9581 (multiplicity 1)

Most intense lines, 10 to 80 degrees two-theta, sorted by position:
| Position (°2θ) | Rel. int. | h k l |
| --- | --- | --- |
| 12.00 | 100 | 0 0 5 |
| 14.41 | 16 | 0 0 6 |
| 31.77 | 33 | 1 0 0 |
| 34.06 | 16 | 1 0 5 |
| 35.03 | 11 | 0 1 6 |
| 37.40 | 65 | 1 0 8 |
| 40.28 | 12 | 1 0 10 |
| 45.36 | 38 | 0 1 13 |
| 47.23 | 12 | 1 0 14 |
| 56.57 | 20 | 1 1 0 |

Theoretical X-ray diffraction stick pattern of MoW3Se4S4 for Cu Ka, from DFT lattice parameters and positions (PBE).
Lines closer than 0.1° are merged.

Cell and atoms:
Cell lengths 3.2555, 3.2555, 36.5575 Å; angles 90.00, 90.00, 120.00 degrees
Space group P3m1 (No. 156)
Inequivalent atoms, fractional coordinates:
1 Mo 0.0000 0.0000 0.0000 (multiplicity 1)
2 W 0.0000 0.0000 0.3758 (multiplicity 1)
3 W 0.3333 0.6667 0.1879 (multiplicity 1)
4 W 0.3333 0.6667 0.5637 (multiplicity 1)
5 Se 0.0000 0.0000 0.5169 (multiplicity 1)
6 Se 0.0000 0.0000 0.6104 (multiplicity 1)
7 Se 0.3333 0.6667 0.3290 (multiplicity 1)
8 Se 0.3333 0.6667 0.4224 (multiplicity 1)
9 S 0.0000 0.0000 0.1455 (multiplicity 1)
10 S 0.0000 0.0000 0.2303 (multiplicity 1)
11 S 0.3333 0.6667 0.0423 (multiplicity 1)
12 S 0.3333 0.6667 0.9577 (multiplicity 1)

Most intense lines, 10 to 80 degrees two-theta, sorted by position:
| Position (°2θ) | Rel. int. | h k l |
| --- | --- | --- |
| 12.10 | 100 | 0 0 5 |
| 14.54 | 24 | 0 0 6 |
| 31.76 | 30 | 1 0 0 |
| 32.60 | 11 | 1 0 3 |
| 34.08 | 14 | 1 0 5 |
| 37.48 | 61 | 1 0 8 |
| 45.56 | 35 | 0 1 13 |
| 47.46 | 14 | 1 0 14 |
| 56.55 | 22 | 1 1 0 |
| 58.05 | 13 | 1 1 5 |

Theoretical X-ray diffraction stick pattern of MoW3Se6S2 for Cu Ka, from DFT lattice parameters and positions (PBE).
Lines closer than 0.1° are merged.

Cell and atoms:
Cell lengths 3.2866, 3.2866, 37.3970 Å; angles 90.00, 90.00, 120.00 degrees
Space group P3m1 (No. 156)
Inequivalent atoms, fractional coordinates:
1 Mo 0.0000 0.0000 0.0000 (multiplicity 1)
2 W 0.0000 0.0000 0.3758 (multiplicity 1)
3 W 0.3333 0.6667 0.1879 (multiplicity 1)
4 W 0.3333 0.6667 0.5636 (multiplicity 1)
5 Se 0.0000 0.0000 0.1425 (multiplicity 1)
6 Se 0.0000 0.0000 0.2332 (multiplicity 1)
7 Se 0.3333 0.6667 0.0451 (multiplicity 1)
8 Se 0.3333 0.6667 0.3304 (multiplicity 1)
9 Se 0.3333 0.6667 0.4211 (multiplicity 1)
10 Se 0.3333 0.6667 0.9549 (multiplicity 1)
11 S 0.0000 0.0000 0.5224 (multiplicity 1)
12 S 0.0000 0.0000 0.6048 (multiplicity 1)

Most intense lines, 10 to 80 degrees two-theta, sorted by position:
| Position (°2θ) | Rel. int. | h k l |
| --- | --- | --- |
| 11.83 | 100 | 0 0 5 |
| 14.21 | 23 | 0 0 6 |
| 31.45 | 32 | 1 0 0 |
| 33.69 | 13 | 1 0 5 |
| 36.98 | 63 | 1 0 8 |
| 44.79 | 40 | 0 1 13 |
| 46.63 | 15 | 1 0 14 |
| 55.97 | 23 | 1 1 0 |
| 57.41 | 11 | 1 1 5 |
| 79.34 | 11 | 1 1 21 |